# 1
The following is a theoretical powder diffraction line list of Y5HS4. It was derived from a crystal structure in Alexandria, relaxed with GGA-PBE, using Cu Kα, 1.54184 Å.
Peak positions follow from Bragg's law for the DFT cell and can differ from measured ones.

Atomic structure:
Cell lengths 16.0946, 16.0946, 16.0946 Å; angles 13.70, 13.70, 13.70 degrees
Positions (direct):
Y (0.0000, 0.0000, 0.0000)
Y (0.1962, 0.1962, 0.1962)
Y (0.4028, 0.4028, 0.4028)
Y (0.5972, 0.5972, 0.5972)
Y (0.8038, 0.8038, 0.8038)
H (0.5000, 0.5000, 0.5000)
S (0.1029, 0.1029, 0.1029)
S (0.2988, 0.2988, 0.2988)
S (0.7012, 0.7012, 0.7012)
S (0.8971, 0.8971, 0.8971)

Principal peaks in the range 2θ = 10–80°, by angle:
2θ (°)  I (rel.)
28.42  43
32.81  100
46.80  32
47.36  35
58.81  17
78.74  14

# 2
The following is a theoretical powder diffraction line list of SbH. It was derived from a crystal structure in Alexandria, relaxed with GGA-PBE, using Cu Kα, 1.54184 Å.
Peak positions follow from Bragg's law for the DFT cell and can differ from measured ones.

Atomic structure:
Cell lengths 3.7916, 16.3495, 3.9314 Å; angles 90.00, 90.00, 90.00 degrees
Positions (direct):
Sb (0.2500, 0.0423, 0.2472)
Sb (0.2500, 0.4577, 0.2472)
Sb (0.2500, 0.7500, 0.4496)
Sb (0.7500, 0.2500, 0.5504)
Sb (0.7500, 0.5423, 0.7528)
Sb (0.7500, 0.9577, 0.7528)
H (0.2500, 0.2500, 0.4801)
H (0.2500, 0.6730, 0.1424)
H (0.2500, 0.8270, 0.1424)
H (0.7500, 0.1730, 0.8576)
H (0.7500, 0.3270, 0.8576)
H (0.7500, 0.7500, 0.5199)

Principal peaks in the range 2θ = 10–80°, by angle:
2θ (°)  I (rel.)
21.74  67
27.98  55
28.68  100
32.82  72
34.65  41
45.62  40

# 3
The following is a theoretical powder diffraction line list of SbH. It was derived from a crystal structure in Alexandria, relaxed with GGA-PBE, using Cu Kα, 1.54184 Å.
Peak positions follow from Bragg's law for the DFT cell and can differ from measured ones.

Atomic structure:
Cell lengths 4.0990, 4.0993, 8.0036 Å; angles 88.90, 89.05, 60.03 degrees
Positions (direct):
Sb (0.1648, 0.1637, 0.1031)
Sb (0.8352, 0.8363, 0.8969)
H (0.4990, 0.5034, 0.4530)
H (0.5010, 0.4966, 0.5470)

Principal peaks in the range 2θ = 10–80°, by angle:
2θ (°)  I (rel.)
11.06  100
25.08  18
27.28  17
27.59  35
33.93  21
44.19  17

# 4
The following is a theoretical powder diffraction line list of Sc3Sb2H2. It was derived from a crystal structure in Alexandria, relaxed with GGA-PBE, using Cu Kα, 1.54184 Å.
Peak positions follow from Bragg's law for the DFT cell and can differ from measured ones.

Atomic structure:
Cell lengths 5.8774, 5.9202, 7.5068 Å; angles 90.00, 112.42, 90.00 degrees
Positions (direct):
Sc (0.0000, 0.0000, 0.0000)
Sc (0.0000, 0.5000, 0.5000)
Sc (0.3856, 0.1520, 0.7924)
Sc (0.3856, 0.3480, 0.2924)
Sc (0.6144, 0.6520, 0.7076)
Sc (0.6144, 0.8480, 0.2076)
Sb (0.1989, 0.5878, 0.9039)
Sb (0.1989, 0.9122, 0.4039)
Sb (0.8011, 0.0878, 0.5961)
Sb (0.8011, 0.4122, 0.0961)
H (0.3604, 0.1003, 0.0683)
H (0.3604, 0.3997, 0.5683)
H (0.6396, 0.6003, 0.4317)
H (0.6396, 0.8997, 0.9317)

Principal peaks in the range 2θ = 10–80°, by angle:
2θ (°)  I (rel.)
19.71  49
32.91  61
34.06  99
34.55  39
35.62  67
39.13  100

# 5
The following is a theoretical powder diffraction line list of ScSbH. It was derived from a crystal structure in Alexandria, relaxed with GGA-PBE, using Cu Kα, 1.54184 Å.
Peak positions follow from Bragg's law for the DFT cell and can differ from measured ones.

Atomic structure:
Cell lengths 3.3896, 3.3896, 9.2299 Å; angles 90.00, 90.00, 90.00 degrees
Positions (direct):
Sc (0.2500, 0.2500, 0.1287)
Sc (0.7500, 0.7500, 0.8713)
Sb (0.2500, 0.2500, 0.6636)
Sb (0.7500, 0.7500, 0.3364)
H (0.2500, 0.7500, 0.0000)
H (0.7500, 0.2500, 0.0000)

Principal peaks in the range 2θ = 10–80°, by angle:
2θ (°)  I (rel.)
28.04  32
32.78  100
37.52  40
47.68  16
54.11  14
64.73  26

# 6
The following is a theoretical powder diffraction line list of SbH3Se. It was derived from a crystal structure in Alexandria, relaxed with GGA-PBE, using Cu Kα, 1.54184 Å.
Peak positions follow from Bragg's law for the DFT cell and can differ from measured ones.

Atomic structure:
Cell lengths 3.8792, 3.8792, 3.8792 Å; angles 90.00, 90.00, 90.00 degrees
Positions (direct):
Sb (0.0000, 0.0000, 0.0000)
H (0.0000, 0.5000, 0.5000)
H (0.5000, 0.0000, 0.5000)
H (0.5000, 0.5000, 0.0000)
Se (0.5000, 0.5000, 0.5000)

Principal peaks in the range 2θ = 10–80°, by angle:
2θ (°)  I (rel.)
22.93  5
32.65  100
46.84  19
58.26  37
68.40  12
77.87  16

# 7
The following is a theoretical powder diffraction line list of SiSbH2. It was derived from a crystal structure in Alexandria, relaxed with GGA-PBE, using Cu Kα, 1.54184 Å.
Peak positions follow from Bragg's law for the DFT cell and can differ from measured ones.

Atomic structure:
Cell lengths 3.5523, 5.3247, 3.9872 Å; angles 90.00, 112.79, 90.00 degrees
Positions (direct):
Si (0.0000, 0.0000, 0.0000)
Sb (0.0000, 0.3179, 0.5000)
H (0.3545, 0.8286, 0.1824)
H (0.6455, 0.8286, 0.8176)

Principal peaks in the range 2θ = 10–80°, by angle:
2θ (°)  I (rel.)
16.65  100
27.23  58
29.53  80
32.09  45
33.30  58
41.90  32

# 8
The following is a theoretical powder diffraction line list of SmSbH. It was derived from a crystal structure in Alexandria, relaxed with GGA-PBE, using Cu Kα, 1.54184 Å.
Peak positions follow from Bragg's law for the DFT cell and can differ from measured ones.

Atomic structure:
Cell lengths 3.8579, 3.8579, 4.7593 Å; angles 90.00, 90.00, 120.00 degrees
Positions (direct):
Sm (0.0000, 0.0000, 0.0000)
Sb (0.6667, 0.3333, 0.5000)
H (0.3333, 0.6667, 0.0000)

Principal peaks in the range 2θ = 10–80°, by angle:
2θ (°)  I (rel.)
26.68  28
32.75  100
47.11  24
58.56  19
61.92  21
78.34  16

# 9
The following is a theoretical powder diffraction line list of Ti7SnSb2H2. It was derived from a crystal structure in Alexandria, relaxed with GGA-PBE, using Cu Kα, 1.54184 Å.
Peak positions follow from Bragg's law for the DFT cell and can differ from measured ones.

Atomic structure:
Cell lengths 4.0093, 4.0093, 12.0035 Å; angles 99.54, 99.54, 89.99 degrees
Positions (direct):
Ti (0.0000, 0.0000, 0.0000)
Ti (0.0937, 0.5940, 0.1889)
Ti (0.1969, 0.1969, 0.3975)
Ti (0.4060, 0.9063, 0.8111)
Ti (0.5940, 0.0937, 0.1889)
Ti (0.8031, 0.8031, 0.6025)
Ti (0.9063, 0.4060, 0.8111)
Sn (0.5000, 0.5000, 0.0000)
Sb (0.3195, 0.3195, 0.6362)
Sb (0.6805, 0.6805, 0.3638)
H (0.0846, 0.0846, 0.1699)
H (0.9154, 0.9154, 0.8301)

Principal peaks in the range 2θ = 10–80°, by angle:
2θ (°)  I (rel.)
22.50  25
31.56  28
35.20  36
39.33  100
45.23  48
79.51  24

# 10
The following is a theoretical powder diffraction line list of Sr4SbH2. It was derived from a crystal structure in Alexandria, relaxed with GGA-PBE, using Cu Kα, 1.54184 Å.
Peak positions follow from Bragg's law for the DFT cell and can differ from measured ones.

Atomic structure:
Cell lengths 8.5221, 8.5221, 8.5221 Å; angles 104.16, 104.16, 120.72 degrees
Positions (direct):
Sr (0.0651, 0.8909, 0.2442)
Sr (0.0935, 0.3869, 0.6680)
Sr (0.1091, 0.3533, 0.1741)
Sr (0.1792, 0.9349, 0.8259)
Sr (0.5744, 0.9065, 0.2933)
Sr (0.6131, 0.2811, 0.7067)
Sr (0.6467, 0.8208, 0.7558)
Sr (0.7189, 0.4256, 0.3320)
Sb (0.2500, 0.7500, 0.5000)
Sb (0.5000, 0.5000, 0.0000)
H (0.4706, 0.1318, 0.3631)
H (0.7686, 0.1074, 0.6369)
H (0.8682, 0.2314, 0.3388)
H (0.8926, 0.5294, 0.6612)

Principal peaks in the range 2θ = 10–80°, by angle:
2θ (°)  I (rel.)
16.93  42
27.16  100
27.65  72
32.60  64
33.00  34
34.44  35

# 11
The following is a theoretical powder diffraction line list of Sr5Sb2H. It was derived from a crystal structure in Alexandria, relaxed with GGA-PBE, using Cu Kα, 1.54184 Å.
Peak positions follow from Bragg's law for the DFT cell and can differ from measured ones.

Atomic structure:
Cell lengths 7.5778, 7.5778, 9.7719 Å; angles 90.00, 90.00, 90.00 degrees
Positions (direct):
Sr (0.0000, 0.0000, 0.0000)
Sr (0.2497, 0.2497, 0.2473)
Sr (0.2503, 0.2503, 0.7473)
Sr (0.2497, 0.7503, 0.2473)
Sr (0.2503, 0.7497, 0.7473)
Sr (0.5000, 0.5000, 0.5000)
Sr (0.7503, 0.2497, 0.2473)
Sr (0.7497, 0.2503, 0.7473)
Sr (0.7503, 0.7503, 0.2473)
Sr (0.7497, 0.7497, 0.7473)
Sb (0.0000, 0.5000, 0.4990)
Sb (0.0000, 0.5000, 0.9990)
Sb (0.5000, 0.0000, 0.4990)
Sb (0.5000, 0.0000, 0.9990)
H (0.0000, 0.0000, 0.2460)
H (0.5000, 0.5000, 0.7460)

Principal peaks in the range 2θ = 10–80°, by angle:
2θ (°)  I (rel.)
29.84  100
33.45  37
36.79  15
50.56  23
57.57  30
62.01  25

# 12
The following is a theoretical powder diffraction line list of SrZn2SbH2. It was derived from a crystal structure in Alexandria, relaxed with GGA-PBE, using Cu Kα, 1.54184 Å.
Peak positions follow from Bragg's law for the DFT cell and can differ from measured ones.

Atomic structure:
Cell lengths 6.3599, 5.9862, 6.7011 Å; angles 90.00, 116.27, 90.00 degrees
Positions (direct):
Sr (0.2305, 0.2500, 0.0217)
Sr (0.7695, 0.7500, 0.9783)
Zn (0.2321, 0.5096, 0.4561)
Zn (0.2321, 0.9904, 0.4561)
Zn (0.7679, 0.0096, 0.5439)
Zn (0.7679, 0.4904, 0.5439)
Sb (0.2009, 0.7500, 0.7913)
Sb (0.7991, 0.2500, 0.2087)
H (0.1914, 0.7500, 0.2797)
H (0.3778, 0.2500, 0.4645)
H (0.6222, 0.7500, 0.5355)
H (0.8086, 0.2500, 0.7203)

Principal peaks in the range 2θ = 10–80°, by angle:
2θ (°)  I (rel.)
20.95  71
30.68  43
31.37  87
33.44  100
41.44  76
43.43  30

# 13
The following is a theoretical powder diffraction line list of TaSbH2W. It was derived from a crystal structure in Alexandria, relaxed with GGA-PBE, using Cu Kα, 1.54184 Å.
Peak positions follow from Bragg's law for the DFT cell and can differ from measured ones.

Atomic structure:
Cell lengths 3.8359, 3.8359, 5.2249 Å; angles 90.00, 90.00, 90.00 degrees
Positions (direct):
Ta (0.0000, 0.0000, 0.0000)
Sb (0.5000, 0.5000, 0.0000)
H (0.0000, 0.5000, 0.5000)
H (0.5000, 0.0000, 0.5000)
W (0.0000, 0.0000, 0.5000)

Principal peaks in the range 2θ = 10–80°, by angle:
2θ (°)  I (rel.)
23.19  60
33.02  100
34.33  46
47.40  37
48.37  69
59.82  37

# 14
The following is a theoretical powder diffraction line list of Tb2Sb2H. It was derived from a crystal structure in Alexandria, relaxed with GGA-PBE, using Cu Kα, 1.54184 Å.
Peak positions follow from Bragg's law for the DFT cell and can differ from measured ones.

Atomic structure:
Cell lengths 9.4542, 9.4542, 6.1667 Å; angles 90.00, 90.00, 153.69 degrees
Positions (direct):
Tb (0.0916, 0.9084, 0.5000)
Tb (0.3343, 0.6657, 0.5541)
Tb (0.6657, 0.3343, 0.0541)
Tb (0.9084, 0.0916, 0.0000)
Sb (0.2895, 0.7105, 0.0489)
Sb (0.4944, 0.5056, 0.2767)
Sb (0.5056, 0.4944, 0.7767)
Sb (0.7105, 0.2895, 0.5489)
H (0.1263, 0.8737, 0.1579)
H (0.8737, 0.1263, 0.6579)

Principal peaks in the range 2θ = 10–80°, by angle:
2θ (°)  I (rel.)
28.96  26
29.18  76
30.58  32
31.99  100
38.81  62
41.94  71